1.
# Ho2Lu3Hg3
Calculated powder diffractogram, copper Kα. Input: a structure optimized by DFT (GGA-PBE).
Kinematic intensities with the Lorentz-polarization factor, no thermal factor.

Crystal structure
abc: 6.5374 5.3305 6.5522
angles: 90.00 116.46 90.00
Space group Pm (No. 6)
Symmetry-distinct sites (fractional):
Ho: 0.0000 0.0000 0.0000 (multiplicity 1)
Ho: 0.2934 0.5000 0.6918 (multiplicity 1)
Lu: 0.4932 0.0000 0.0117 (multiplicity 1)
Lu: 0.5047 0.0000 0.5040 (multiplicity 1)
Lu: 0.8109 0.5000 0.2142 (multiplicity 1)
Hg: 0.3177 0.5000 0.1894 (multiplicity 1)
Hg: 0.7992 0.5000 0.6989 (multiplicity 1)
Hg: 0.9970 0.0000 0.5013 (multiplicity 1)

Top 12 peaks for 2θ from 15° to 90°, in order of rising 2θ:
d (Å)	Rel. int.
2.929	9.8
2.782	20.3
2.665	31.8
2.567	100.0
2.466	21.4
1.971	6.5
1.925	14.1
1.723	8.6
1.519	20.3
1.447	9.8
1.394	6.5
1.346	7.1

---

2.
# RbSmSO
Calculated powder diffractogram, copper Kα. Input: a structure optimized by DFT (GGA-PBE).
Kinematic intensities with the Lorentz-polarization factor, no thermal factor.

Crystal structure
abc: 7.8726 7.5466 6.6723
angles: 90.00 104.34 90.00
Space group P2_1/c (No. 14)
Symmetry-distinct sites (fractional):
Rb: 0.0812 0.2439 0.0101 (multiplicity 4)
Sm: 0.4736 0.6270 0.2705 (multiplicity 4)
S: 0.2570 0.5910 0.8473 (multiplicity 4)
O: 0.3956 0.1468 0.8795 (multiplicity 4)

Top 12 peaks for 2θ from 15° to 90°, in order of rising 2θ:
d (Å)	Rel. int.
3.814	79.5
3.404	44.7
3.282	65.2
3.259	52.5
3.142	100.0
2.870	37.1
2.742	90.8
2.646	64.8
2.337	44.5
2.194	34.5
1.832	48.1
1.629	31.8

---

3.
# Be22Mo
Calculated powder diffractogram, copper Kα. Input: a structure optimized by DFT (GGA-PBE).
Kinematic intensities with the Lorentz-polarization factor, no thermal factor.

Crystal structure
abc: 11.5667 11.5667 11.5667
angles: 90.00 90.00 90.00
Space group Fd-3m (No. 227, origin choice 2)
Symmetry-distinct sites (fractional):
Be: 0.0000 0.0000 0.0000 (multiplicity 16)
Be: 0.0000 0.0000 0.5000 (multiplicity 16)
Be: 0.0100 0.3750 0.3750 (multiplicity 48)
Be: 0.0598 0.0598 0.8240 (multiplicity 96)
Mo: 0.1250 0.1250 0.6250 (multiplicity 8)

Top 12 peaks for 2θ from 15° to 90°, in order of rising 2θ:
d (Å)	Rel. int.
4.089	100.0
3.487	73.0
2.892	19.8
2.654	30.5
2.361	43.3
2.226	22.6
2.045	21.4
1.955	54.4
1.829	35.8
1.764	26.1
1.546	20.2
1.363	20.6

---

4.
# Li3NdDy2Pb3
Calculated powder diffractogram, copper Kα. Input: a structure optimized by DFT (GGA-PBE).
Kinematic intensities with the Lorentz-polarization factor, no thermal factor.

Crystal structure
abc: 4.7736 4.7736 11.2372
angles: 90.00 90.00 120.00
Space group P-6m2 (No. 187)
Symmetry-distinct sites (fractional):
Li: 0.0000 0.0000 0.0000 (multiplicity 1)
Li: 0.3333 0.6667 0.3060 (multiplicity 2)
Nd: 0.6667 0.3333 0.5000 (multiplicity 1)
Dy: 0.6667 0.3333 0.1613 (multiplicity 2)
Pb: 0.0000 0.0000 0.3195 (multiplicity 2)
Pb: 0.3333 0.6667 0.0000 (multiplicity 1)

Top 12 peaks for 2θ from 15° to 90°, in order of rising 2θ:
d (Å)	Rel. int.
4.134	11.7
3.880	38.1
3.330	40.1
2.776	100.0
2.387	63.9
1.975	12.8
1.810	29.0
1.473	25.5
1.442	27.7
1.378	11.6
1.110	10.8
1.096	12.2

---

5.
# Zr6HgPb
Calculated powder diffractogram, copper Kα. Input: a structure optimized by DFT (GGA-PBE).
Kinematic intensities with the Lorentz-polarization factor, no thermal factor.

Crystal structure
abc: 5.6357 5.6357 5.6357
angles: 90.00 90.00 90.00
Space group Pm-3 (No. 200)
Symmetry-distinct sites (fractional):
Zr: 0.0000 0.2536 0.5000 (multiplicity 6)
Hg: 0.5000 0.5000 0.5000 (multiplicity 1)
Pb: 0.0000 0.0000 0.0000 (multiplicity 1)

Top 12 peaks for 2θ from 15° to 90°, in order of rising 2θ:
d (Å)	Rel. int.
3.985	26.8
2.818	43.9
2.520	51.2
2.301	100.0
1.782	6.8
1.563	11.3
1.506	53.3
1.409	13.8
1.260	14.8
1.230	9.9
1.202	12.9
1.105	5.2

---

6.
# LaPrB4Os4
Calculated powder diffractogram, copper Kα. Input: a structure optimized by DFT (GGA-PBE).
Kinematic intensities with the Lorentz-polarization factor, no thermal factor.

Crystal structure
abc: 6.6035 9.1969 10.1484
angles: 90.00 90.00 90.00
Space group F222 (No. 22)
Symmetry-distinct sites (fractional):
La: 0.0000 0.0000 0.0000 (multiplicity 4)
Pr: 0.2500 0.2500 0.2500 (multiplicity 4)
B: 0.0000 0.1826 0.5000 (multiplicity 8)
B: 0.2500 0.0667 0.7500 (multiplicity 8)
Os: 0.0000 0.0000 0.3633 (multiplicity 8)
Os: 0.2500 0.2500 0.6134 (multiplicity 8)

Top 12 peaks for 2θ from 15° to 90°, in order of rising 2θ:
d (Å)	Rel. int.
4.742	19.8
2.861	91.9
2.682	100.0
2.299	32.7
2.148	45.1
1.843	13.5
1.809	24.6
1.651	12.6
1.581	17.2
1.570	15.2
1.390	14.1
1.341	16.1

---

7.
# SrSiAg2Se2S2
Calculated powder diffractogram, copper Kα. Input: a structure optimized by DFT (GGA-PBE).
Kinematic intensities with the Lorentz-polarization factor, no thermal factor.

Crystal structure
abc: 9.8573 7.8271 6.9297
angles: 90.00 133.63 90.00
Space group C2 (No. 5)
Symmetry-distinct sites (fractional):
Sr: 0.0000 0.0000 0.0000 (multiplicity 2)
Si: 0.0000 0.4826 0.0000 (multiplicity 2)
Ag: 0.0000 0.3091 0.5000 (multiplicity 2)
Ag: 0.0000 0.7003 0.5000 (multiplicity 2)
Se: 0.1894 0.6547 0.3735 (multiplicity 4)
S: 0.1769 0.3307 0.9929 (multiplicity 4)

Top 12 peaks for 2θ from 15° to 90°, in order of rising 2θ:
d (Å)	Rel. int.
5.015	31.4
3.085	100.0
3.064	88.7
2.958	51.6
2.917	39.9
2.508	41.0
2.463	57.0
2.450	54.2
1.942	28.8
1.908	25.6
1.730	26.0
1.576	25.4

---

8.
# Rb2UPt3Se6
Calculated powder diffractogram, copper Kα. Input: a structure optimized by DFT (GGA-PBE).
Kinematic intensities with the Lorentz-polarization factor, no thermal factor.

Crystal structure
abc: 10.1491 15.5180 17.6017
angles: 90.00 90.00 90.00
Space group Fmmm (No. 69)
Symmetry-distinct sites (fractional):
Rb: 0.0000 0.1743 0.0000 (multiplicity 8)
Rb: 0.2500 0.2500 0.2500 (multiplicity 8)
U: 0.0000 0.0000 0.3317 (multiplicity 8)
Pt: 0.1646 0.0000 0.5000 (multiplicity 8)
Pt: 0.1685 0.0000 0.1634 (multiplicity 16)
Se: 0.0000 0.1105 0.2014 (multiplicity 16)
Se: 0.1893 0.1113 0.3990 (multiplicity 32)

Top 12 peaks for 2θ from 15° to 90°, in order of rising 2θ:
d (Å)	Rel. int.
3.826	55.1
2.880	91.0
2.797	48.2
2.744	57.0
2.550	99.5
2.524	26.1
2.340	44.7
2.131	100.0
1.940	60.9
1.768	30.5
1.683	48.1
1.371	35.2

---

9.
# RePt
Calculated powder diffractogram, copper Kα. Input: a structure optimized by DFT (GGA-PBE).
Kinematic intensities with the Lorentz-polarization factor, no thermal factor.

Crystal structure
abc: 2.7734 2.7734 4.5023
angles: 90.00 90.00 120.00
Space group P-6m2 (No. 187)
Symmetry-distinct sites (fractional):
Re: 0.0000 0.0000 0.0000 (multiplicity 1)
Pt: 0.3333 0.6667 0.5000 (multiplicity 1)

Top 10 peaks for 2θ from 15° to 90°, in order of rising 2θ:
d (Å)	Rel. int.
2.402	23.9
2.251	26.5
2.119	100.0
1.642	15.2
1.387	17.3
1.273	19.7
1.201	2.7
1.181	20.9
1.160	15.0
1.126	3.1

---

10.
# Ho2AuO4
Calculated powder diffractogram, copper Kα. Input: a structure optimized by DFT (GGA-PBE).
Kinematic intensities with the Lorentz-polarization factor, no thermal factor.

Crystal structure
abc: 9.5334 9.5334 9.5334
angles: 90.00 90.00 90.00
Space group Fd-3m (No. 227, origin choice 2)
Symmetry-distinct sites (fractional):
Ho: 0.0000 0.0000 0.0000 (multiplicity 16)
Au: 0.1250 0.1250 0.6250 (multiplicity 8)
O: 0.0146 0.0146 0.2354 (multiplicity 32)

Top 12 peaks for 2θ from 15° to 90°, in order of rising 2θ:
d (Å)	Rel. int.
3.371	33.6
2.874	100.0
2.752	22.4
1.946	14.3
1.835	39.5
1.685	38.2
1.507	6.1
1.454	13.1
1.437	11.1
1.274	7.8
1.241	22.7
1.101	13.5

---

11.
# ScCuTe3Pb
Calculated powder diffractogram, copper Kα. Input: a structure optimized by DFT (GGA-PBE).
Kinematic intensities with the Lorentz-polarization factor, no thermal factor.

Crystal structure
abc: 10.5347 4.2883 15.3735
angles: 90.00 90.00 90.00
Space group Pnma (No. 62)
Symmetry-distinct sites (fractional):
Sc: 0.1675 0.2500 0.0354 (multiplicity 4)
Cu: 0.1376 0.7500 0.8811 (multiplicity 4)
Te: 0.0041 0.7500 0.1167 (multiplicity 4)
Te: 0.1611 0.2500 0.4760 (multiplicity 4)
Te: 0.2226 0.7500 0.7148 (multiplicity 4)
Pb: 0.0299 0.2500 0.6645 (multiplicity 4)

Top 12 peaks for 2θ from 15° to 90°, in order of rising 2θ:
d (Å)	Rel. int.
4.983	14.3
3.845	12.5
3.250	100.0
3.105	37.0
2.952	22.5
2.762	16.3
2.499	25.5
2.220	16.7
2.154	15.9
2.144	25.9
2.056	14.9
1.764	14.4

---

12.
# PrGeH2O4
Calculated powder diffractogram, copper Kα. Input: a structure optimized by DFT (GGA-PBE).
Kinematic intensities with the Lorentz-polarization factor, no thermal factor.

Crystal structure
abc: 4.9669 6.4424 6.3548
angles: 90.00 106.72 90.00
Space group P2_1/m (No. 11)
Symmetry-distinct sites (fractional):
Pr: 0.0791 0.2500 0.1842 (multiplicity 2)
Ge: 0.3099 0.2500 0.7230 (multiplicity 2)
H: 0.2594 0.7500 0.4690 (multiplicity 2)
H: 0.5000 0.0000 0.0000 (multiplicity 2)
O: 0.0380 0.7500 0.4736 (multiplicity 2)
O: 0.2515 0.0290 0.9249 (multiplicity 4)
O: 0.4645 0.2500 0.4888 (multiplicity 2)

Top 12 peaks for 2θ from 15° to 90°, in order of rising 2θ:
d (Å)	Rel. int.
4.757	36.8
3.827	100.0
3.642	56.9
3.221	76.8
2.947	64.6
2.752	34.3
2.706	79.9
2.212	30.0
1.959	42.0
1.933	28.7
1.743	23.7
1.587	23.2